The following is a theoretical powder diffractogram of LaMn2CdO6. It was derived from a structure optimized by DFT (GGA+U), using Cu Kα X-rays.
No peak broadening, texture or thermal motion is included.

Largest 12 diffraction maxima, sorted by position, 10 to 90 degrees two-theta:
- hkl 0 1 2, 22.9 deg, I = 25
- hkl 1 1 0, 32.6 deg, I = 93
- hkl 1 0 4, 32.7 deg, I = 100
- hkl 2 0 2, 40.2 deg, I = 22
- hkl 0 0 6, 40.5 deg, I = 9
- hkl 0 2 4, 46.8 deg, I = 58
- hkl 3 0 0, 58.2 deg, I = 62
- hkl 0 1 8, 58.5 deg, I = 18
- hkl 2 2 0, 68.2 deg, I = 14
- hkl 2 0 8, 68.6 deg, I = 17
- hkl 1 3 4, 77.8 deg, I = 14
- hkl 1 2 8, 78.0 deg, I = 16

Atomic structure:
Cell: 5.4974 5.4974 13.3780 Å, 90.00 90.00 120.00°
Space group R32 (No. 155, hexagonal axes)
Asymmetric unit:
La (0.0000, 0.0000, 0.0000)
Mn (0.0000, 0.0000, 0.2504)
Cd (0.0000, 0.0000, 0.5000)
O (0.0000, 0.4169, 0.5000)
O (0.0000, 0.5662, 0.0000)